For TbZnP2Rh5, a DFT-relaxed cell (PBE, Alexandria) gives the simulated PXRD pattern in this record (CuKα).
Peak positions follow from Bragg's law for the DFT cell and can differ from measured ones.

Principal peaks in the range 2θ from 10° to 80°, in order of rising 2θ:
(hkl), Position (°2θ), I/Imax
0 0 3, 28.14, 74
1 0 2, 28.87, 26
1 1 1, 32.50, 100
1 1 2, 36.48, 89
2 0 0, 44.51, 78
1 1 4, 49.73, 70
2 0 3, 53.49, 49
0 0 6, 58.15, 27
2 2 0, 64.77, 25
2 0 6, 76.09, 23

Crystal structure
```
TbZnP2Rh5
1.0
4.0709 0.0000 0.0000
0.0000 4.0709 0.0000
0.0000 0.0000 9.5137
Tb Zn P Rh
1 1 2 5
direct
0.0000 0.0000 0.0000
0.0000 0.0000 0.5000
0.5000 0.5000 0.2358
0.5000 0.5000 0.7642
0.0000 0.5000 0.3382
0.0000 0.5000 0.6618
0.5000 0.0000 0.3382
0.5000 0.0000 0.6618
0.5000 0.5000 0.0000
```